For Li2V3SnO8, a crystal structure in Alexandria, relaxed with PBE+U gives the theoretical powder diffraction line list in this record (CuKα).
Peak positions follow from Bragg's law for the DFT cell and can differ from measured ones.

Atomic structure:
Cell: 10.456 6.061 10.585 Å, 90.00 110.41 90.00°
Space group Cc (No. 9)
Inequivalent atoms, fractional coordinates:
Li: 0.000 0.244 0.000 x4
Li: 0.436 0.251 0.822 x4
V: 0.175 0.481 0.319 x4
V: 0.180 0.249 0.562 x4
V: 0.181 0.008 0.323 x4
Sn: 0.360 0.253 0.128 x4
O: 0.067 0.254 0.698 x4
O: 0.076 0.021 0.440 x4
O: 0.079 0.266 0.207 x4
O: 0.082 0.492 0.440 x4
O: 0.295 0.261 0.437 x4
O: 0.298 0.017 0.698 x4
O: 0.299 0.478 0.700 x4
O: 0.300 0.254 0.927 x4

Main lines, in order of falling intensity (10 to 80 degrees two-theta):
| h k l | two_theta | d [Å] | I (rel.) |
| --- | --- | --- | --- |
| 0 2 2 | 34.70 | 2.585 | 100 |
| 1 1 1 | 20.83 | 4.265 | 90 |
| 2 2 0 | 34.81 | 2.577 | 73 |
| 3 1 -1 | 29.56 | 3.022 | 72 |
| 2 0 0 | 18.10 | 4.900 | 62 |
| 0 0 2 | 17.88 | 4.961 | 56 |
| 2 0 -2 | 20.56 | 4.319 | 46 |
| 2 0 -4 | 34.36 | 2.610 | 41 |
| 3 1 -3 | 34.48 | 2.601 | 39 |
| 2 2 -6 | 60.75 | 1.525 | 38 |
| 3 1 1 | 35.06 | 2.560 | 34 |
| 6 2 -2 | 61.38 | 1.510 | 34 |